Computed powder XRD pattern
Compound: CaVReO6
Radiation: Cu Kα
Structure: a structure optimized by DFT (PBE+U)
Intensities are scaled so that the largest is 100.

Lattice parameters (Å, degrees): 4.840 4.840 9.443 90.00 90.00 90.00
Space group P4_2nm (No. 102)
Inequivalent atoms, fractional coordinates:
Ca: 0.000 0.000 0.000 (multiplicity 2)
V: 0.000 0.000 0.669 (multiplicity 2)
Re: 0.000 0.000 0.334 (multiplicity 2)
O: 0.173 0.173 0.494 (multiplicity 4)
O: 0.210 0.210 0.199 (multiplicity 4)
O: 0.225 0.225 0.815 (multiplicity 4)

The 8 most intense peaks (2θ from 10° to 90°), in order of falling intensity:
- 26.0°, I 100, hkl 1 1 0
- 20.6°, I 87, hkl 1 0 1
- 34.0°, I 75, hkl 1 0 3
- 51.2°, I 63, hkl 2 1 3
- 18.8°, I 30, hkl 0 0 2
- 32.3°, I 25, hkl 1 1 2
- 42.9°, I 23, hkl 2 1 1
- 65.0°, I 19, hkl 3 0 3